Structure and theoretical PXRD pattern of Tb2NdDyMg (a crystal structure in Alexandria, relaxed with PBE; Cu Kα X-rays).
Intensities are scaled so that the largest is 100.

Largest 6 diffraction maxima, in order of rising 2θ, 10° ≤ 2θ ≤ 90°:
two_theta	d (Å)	I/Imax
28.86	3.093	25.5
31.83	2.812	38.0
33.05	2.710	100.0
33.15	2.702	52.2
43.52	2.079	24.5
57.51	1.602	31.5

Crystal structure
```
Tb2NdDyMg
1.0
6.163 0.000 0.000
0.000 5.623 0.000
-3.068 0.000 8.941
Tb Nd Dy Mg
4 2 2 2
direct
0.051 0.250 0.298
0.124 0.750 0.106
0.876 0.250 0.894
0.949 0.750 0.702
0.464 0.250 0.111
0.536 0.750 0.889
0.336 0.750 0.502
0.664 0.250 0.498
0.269 0.250 0.692
0.731 0.750 0.308
```


Structure and theoretical PXRD pattern of NdDyTmMg (a crystal structure in Alexandria, relaxed with PBE; Cu Kα X-rays).
Intensities are scaled so that the largest is 100.

Largest 6 diffraction maxima, in order of rising 2θ, 10° ≤ 2θ ≤ 90°:
two_theta	d (Å)	I/Imax
26.20	3.402	59.5
31.07	2.878	100.0
34.03	2.635	59.6
36.92	2.435	63.5
55.17	1.665	38.9
62.80	1.480	28.8

Crystal structure
```
NdDyTmMg
1.0
3.450 0.000 0.000
0.000 3.486 0.000
-1.719 0.000 10.203
Nd Dy Tm Mg
1 1 1 1
direct
0.000 0.000 0.000
0.153 0.500 0.305
0.773 0.000 0.544
0.385 0.500 0.766
```


Structure and theoretical PXRD pattern of Nd2Dy4TmMg (a crystal structure in Alexandria, relaxed with PBE; Cu Kα X-rays).
Intensities are scaled so that the largest is 100.

Largest 6 diffraction maxima, in order of rising 2θ, 10° ≤ 2θ ≤ 90°:
two_theta	d (Å)	I/Imax
30.96	2.889	100.0
35.58	2.523	17.3
36.05	2.491	33.3
51.56	1.773	24.1
61.04	1.518	14.5
61.68	1.504	28.1

Crystal structure
```
Nd2Dy4TmMg
1.0
4.982 0.000 0.000
0.000 4.982 0.000
0.000 0.000 10.093
Nd Dy Tm Mg
2 4 1 1
direct
0.000 0.000 0.000
0.500 0.500 0.500
0.000 0.500 0.250
0.000 0.500 0.750
0.500 0.000 0.250
0.500 0.000 0.750
0.000 0.000 0.500
0.500 0.500 0.000
```


Structure and theoretical PXRD pattern of NdDy2TmMg (a crystal structure in Alexandria, relaxed with PBE; Cu Kα X-rays).
Intensities are scaled so that the largest is 100.

Largest 6 diffraction maxima, in order of rising 2θ, 10° ≤ 2θ ≤ 90°:
two_theta	d (Å)	I/Imax
29.01	3.078	21.0
32.01	2.796	36.2
33.22	2.697	100.0
33.36	2.686	44.4
51.61	1.771	17.7
57.83	1.594	20.6

Crystal structure
```
NdDy2TmMg
1.0
6.160 0.000 0.000
0.000 5.592 0.000
-3.029 0.000 8.851
Nd Dy Tm Mg
2 4 2 2
direct
0.037 0.250 0.387
0.963 0.750 0.613
0.377 0.750 0.395
0.450 0.250 0.199
0.550 0.750 0.801
0.623 0.250 0.605
0.159 0.750 0.000
0.841 0.250 0.000
0.232 0.250 0.808
0.768 0.750 0.192
```


Structure and theoretical PXRD pattern of Nd4Dy2YMg (a crystal structure in Alexandria, relaxed with PBE; Cu Kα X-rays).
Intensities are scaled so that the largest is 100.

Largest 6 diffraction maxima, in order of rising 2θ, 10° ≤ 2θ ≤ 90°:
two_theta	d (Å)	I/Imax
19.12	4.643	13.7
30.92	2.892	54.3
31.73	2.820	100.0
44.29	2.045	20.2
55.51	1.655	40.9
57.04	1.615	18.1

Crystal structure
```
Nd4Dy2YMg
1.0
5.784 0.000 0.000
0.000 5.784 0.000
0.000 0.000 7.785
Nd Dy Y Mg
4 2 1 1
direct
0.000 0.500 0.238
0.000 0.500 0.762
0.500 0.000 0.238
0.500 0.000 0.762
0.000 0.000 0.000
0.500 0.500 0.500
0.000 0.000 0.500
0.500 0.500 0.000
```


Structure and theoretical PXRD pattern of NdDy2Y2Mg (a crystal structure in Alexandria, relaxed with PBE; Cu Kα X-rays).
Intensities are scaled so that the largest is 100.

Largest 6 diffraction maxima, in order of rising 2θ, 10° ≤ 2θ ≤ 90°:
two_theta	d (Å)	I/Imax
11.31	7.821	70.8
18.53	4.787	79.4
30.24	2.956	100.0
30.98	2.887	59.4
34.83	2.576	44.6
36.55	2.458	60.1

Crystal structure
```
NdDy2Y2Mg
1.0
10.485 0.000 0.000
0.000 11.744 0.000
0.000 0.000 3.619
Nd Dy Y Mg
2 4 4 2
direct
0.000 0.000 0.000
0.500 0.500 0.500
0.080 0.229 0.500
0.420 0.729 0.000
0.580 0.271 0.000
0.920 0.771 0.500
0.245 0.431 0.000
0.255 0.931 0.500
0.745 0.069 0.500
0.755 0.569 0.000
0.000 0.500 0.500
0.500 0.000 0.000
```


Structure and theoretical PXRD pattern of DyMg6Ni6 (a crystal structure in Alexandria, relaxed with PBE; Cu Kα X-rays).
Intensities are scaled so that the largest is 100.

Largest 6 diffraction maxima, in order of rising 2θ, 10° ≤ 2θ ≤ 90°:
two_theta	d (Å)	I/Imax
14.06	6.299	86.3
28.30	3.153	73.4
28.54	3.127	78.1
40.38	2.234	86.5
40.55	2.224	100.0
41.06	2.198	59.9

Crystal structure
```
DyMg6Ni6
1.0
-2.556 4.397 4.514
2.556 -4.397 4.514
2.556 4.397 -4.514
Dy Mg Ni
1 6 6
direct
0.000 0.000 0.000
0.190 0.690 0.500
0.335 0.000 0.335
0.347 0.347 0.000
0.653 0.653 0.000
0.665 0.000 0.665
0.810 0.310 0.500
0.000 0.000 0.500
0.000 0.500 0.000
0.230 0.500 0.730
0.500 0.000 0.000
0.500 0.500 0.500
0.770 0.500 0.270
```


Structure and theoretical PXRD pattern of Dy3Mg3Ni (a crystal structure in Alexandria, relaxed with PBE; Cu Kα X-rays).
Intensities are scaled so that the largest is 100.

Largest 6 diffraction maxima, in order of rising 2θ, 10° ≤ 2θ ≤ 90°:
two_theta	d (Å)	I/Imax
10.78	8.203	66.1
25.07	3.552	40.9
30.83	2.900	74.3
32.75	2.734	100.0
35.75	2.512	64.5
54.82	1.674	66.3

Crystal structure
```
Dy3Mg3Ni
1.0
0.000 7.104 7.104
7.104 0.000 7.104
7.104 7.104 0.000
Dy Mg Ni
12 12 4
direct
0.074 0.074 0.676
0.074 0.676 0.074
0.074 0.676 0.676
0.324 0.324 0.926
0.324 0.926 0.324
0.324 0.926 0.926
0.676 0.074 0.074
0.676 0.074 0.676
0.676 0.676 0.074
0.926 0.324 0.324
0.926 0.324 0.926
0.926 0.926 0.324
0.000 0.500 0.500
0.295 0.295 0.295
0.295 0.295 0.616
0.295 0.616 0.295
0.384 0.705 0.705
0.500 0.000 0.500
0.500 0.500 0.000
0.500 0.500 0.500
0.616 0.295 0.295
0.705 0.384 0.705
0.705 0.705 0.384
0.705 0.705 0.705
0.000 0.000 0.000
0.000 0.000 0.500
0.000 0.500 0.000
0.500 0.000 0.000
```